The following is a calculated X-ray diffraction stick pattern of MnSnRh2. It was derived from a structure optimized by DFT (PBE), using Cu Kα.
Lines closer than 0.1° are merged.

Atomic structure:
Lattice parameters (Å, degrees): 6.307 6.307 6.307 90.00 90.00 90.00
Space group Fm-3m (No. 225)
Inequivalent atoms, fractional coordinates:
Mn 0.000 0.000 0.000 (multiplicity 4)
Sn 0.000 0.000 0.500 (multiplicity 4)
Rh 0.250 0.250 0.250 (multiplicity 8)

Top 9 peaks for 2θ from 10° to 90°, sorted by position:
(hkl), 2theta, I/Imax
1 1 1, 24.4, 7
2 0 0, 28.3, 1
2 2 0, 40.5, 100
3 1 1, 47.8, 4
4 0 0, 58.5, 17
3 3 1, 64.4, 2
4 2 2, 73.6, 34
5 1 1, 78.9, 2
4 4 0, 87.5, 11